This entry pairs a crystal structure of CsCaB2Cl8 with its theoretical powder diffraction line list. Radiation: Cu Ka. Structure: a DFT-relaxed cell (PBE, Alexandria).
Neutral-atom scattering factors, no anomalous dispersion.

Crystal structure
```
data_CsCaB2Cl8
_chemical_formula_sum 'Cs1 Ca1 B2 Cl8'
_cell_length_a 10.2648
_cell_length_b 10.2648
_cell_length_c 10.2648
_cell_angle_alpha 35.74
_cell_angle_beta 35.74
_cell_angle_gamma 35.74
_symmetry_space_group_name_H-M 'P 1'
_symmetry_Int_Tables_number 1
loop_
_symmetry_equiv_pos_as_xyz
'x,y,z'
loop_
_atom_site_label
_atom_site_type_symbol
_atom_site_fract_x
_atom_site_fract_y
_atom_site_fract_z
Cs1 Cs 0.0000 0.0000 0.0000
Ca1 Ca 0.5000 0.5000 0.5000
B1 B 0.2460 0.2460 0.2460
B2 B 0.7540 0.7540 0.7540
Cl1 Cl 0.0577 0.4848 0.7843
Cl2 Cl 0.2157 0.9423 0.5152
Cl3 Cl 0.3106 0.3106 0.3106
Cl4 Cl 0.4848 0.7843 0.0577
Cl5 Cl 0.5152 0.2157 0.9423
Cl6 Cl 0.6894 0.6894 0.6894
Cl7 Cl 0.7843 0.0577 0.4848
Cl8 Cl 0.9423 0.5152 0.2157
```

Peak list (10 most intense, 2θ = 5–70°, sorted by position)
- 2θ = 16.54°, I 15
- 2θ = 20.42°, I 100
- 2θ = 27.88°, I 33
- 2θ = 28.33°, I 23
- 2θ = 29.85°, I 94
- 2θ = 34.04°, I 90
- 2θ = 35.22°, I 34
- 2θ = 45.79°, I 22
- 2θ = 47.64°, I 26
- 2θ = 50.16°, I 28

This entry pairs a crystal structure of CaCu2B2H8Cl2O8 with its theoretical powder diffraction line list. Radiation: Cu Ka. Structure: a DFT-relaxed cell (PBE, Alexandria).
Neutral-atom scattering factors, no anomalous dispersion.

Crystal structure
```
data_CaCu2B2H8Cl2O8
_chemical_formula_sum 'Ca1 Cu2 B2 H8 Cl2 O8'
_cell_length_a 6.3051
_cell_length_b 6.3051
_cell_length_c 6.1790
_cell_angle_alpha 90.00
_cell_angle_beta 90.00
_cell_angle_gamma 90.00
_symmetry_space_group_name_H-M 'P 1'
_symmetry_Int_Tables_number 1
loop_
_symmetry_equiv_pos_as_xyz
'x,y,z'
loop_
_atom_site_label
_atom_site_type_symbol
_atom_site_fract_x
_atom_site_fract_y
_atom_site_fract_z
Ca1 Ca 0.0000 0.0000 0.0000
Cu1 Cu 0.0000 0.5000 0.7324
Cu2 Cu 0.5000 0.0000 0.2676
B1 B 0.0000 0.0000 0.5000
B2 B 0.5000 0.5000 0.5000
H1 H 0.2109 0.2288 0.4199
H2 H 0.2288 0.7891 0.5801
H3 H 0.2959 0.6154 0.2695
H4 H 0.3846 0.2959 0.7305
H5 H 0.6154 0.7041 0.7305
H6 H 0.7041 0.3846 0.2695
H7 H 0.7712 0.2109 0.5801
H8 H 0.7891 0.7712 0.4199
Cl1 Cl 0.0000 0.5000 0.0934
Cl2 Cl 0.5000 0.0000 0.9066
O1 O 0.0984 0.8447 0.6493
O2 O 0.1553 0.0984 0.3507
O3 O 0.3277 0.4025 0.6295
O4 O 0.4025 0.6723 0.3705
O5 O 0.5975 0.3277 0.3705
O6 O 0.6723 0.5975 0.6295
O7 O 0.8447 0.9016 0.3507
O8 O 0.9016 0.1553 0.6493
```

Peak list (10 most intense, 2θ = 5–70°, sorted by position)
- 2θ = 19.91°, I 28
- 2θ = 20.12°, I 100
- 2θ = 28.31°, I 99
- 2θ = 32.27°, I 32
- 2θ = 34.98°, I 41
- 2θ = 35.35°, I 40
- 2θ = 40.47°, I 35
- 2θ = 45.52°, I 53
- 2θ = 46.38°, I 29
- 2θ = 55.23°, I 42

This entry pairs a crystal structure of CaCu2BRh with its theoretical powder diffraction line list. Radiation: Cu Ka. Structure: a DFT-relaxed cell (PBE, Alexandria).
Neutral-atom scattering factors, no anomalous dispersion.

Crystal structure
```
data_CaCu2BRh
_chemical_formula_sum 'Ca1 Cu2 B1 Rh1'
_cell_length_a 4.1456
_cell_length_b 4.1456
_cell_length_c 4.2305
_cell_angle_alpha 90.00
_cell_angle_beta 90.00
_cell_angle_gamma 90.00
_symmetry_space_group_name_H-M 'P 1'
_symmetry_Int_Tables_number 1
loop_
_symmetry_equiv_pos_as_xyz
'x,y,z'
loop_
_atom_site_label
_atom_site_type_symbol
_atom_site_fract_x
_atom_site_fract_y
_atom_site_fract_z
Ca1 Ca 0.0000 0.0000 0.0000
Cu1 Cu 0.0000 0.5000 0.5000
Cu2 Cu 0.5000 0.0000 0.5000
B1 B 0.5000 0.5000 0.5000
Rh1 Rh 0.5000 0.5000 0.0000
```

Peak list (10 most intense, 2θ = 5–70°, sorted by position)
- 2θ = 21.43°, I 14
- 2θ = 30.18°, I 7
- 2θ = 37.32°, I 100
- 2θ = 42.75°, I 19
- 2θ = 43.67°, I 35
- 2θ = 48.30°, I 3
- 2θ = 49.14°, I 3
- 2θ = 54.00°, I 3
- 2θ = 62.76°, I 22
- 2θ = 63.47°, I 11

This entry pairs a crystal structure of CaCu2BS4 with its theoretical powder diffraction line list. Radiation: Cu Ka. Structure: a DFT-relaxed cell (PBE, Alexandria).
Neutral-atom scattering factors, no anomalous dispersion.

Crystal structure
```
data_CaCu2BS4
_chemical_formula_sum 'Ca2 Cu4 B2 S8'
_cell_length_a 6.0460
_cell_length_b 6.0460
_cell_length_c 7.3976
_cell_angle_alpha 90.00
_cell_angle_beta 90.00
_cell_angle_gamma 90.00
_symmetry_space_group_name_H-M 'P 1'
_symmetry_Int_Tables_number 1
loop_
_symmetry_equiv_pos_as_xyz
'x,y,z'
loop_
_atom_site_label
_atom_site_type_symbol
_atom_site_fract_x
_atom_site_fract_y
_atom_site_fract_z
Ca1 Ca 0.0000 0.0000 0.0000
Ca2 Ca 0.5000 0.5000 0.5000
Cu1 Cu 0.0000 0.5000 0.2500
Cu2 Cu 0.0000 0.5000 0.7500
Cu3 Cu 0.5000 0.0000 0.2500
Cu4 Cu 0.5000 0.0000 0.7500
B1 B 0.0000 0.0000 0.5000
B2 B 0.5000 0.5000 0.0000
S1 S 0.1856 0.1856 0.3538
S2 S 0.1856 0.8144 0.6462
S3 S 0.3144 0.3144 0.8538
S4 S 0.3144 0.6856 0.1462
S5 S 0.6856 0.3144 0.1462
S6 S 0.6856 0.6856 0.8538
S7 S 0.8144 0.1856 0.6462
S8 S 0.8144 0.8144 0.3538
```

Peak list (10 most intense, 2θ = 5–70°, sorted by position)
- 2θ = 20.78°, I 13
- 2θ = 24.06°, I 17
- 2θ = 29.55°, I 13
- 2θ = 32.00°, I 100
- 2θ = 35.34°, I 26
- 2θ = 42.28°, I 31
- 2θ = 47.56°, I 13
- 2θ = 49.24°, I 10
- 2θ = 53.99°, I 45
- 2θ = 58.51°, I 24

This entry pairs a crystal structure of Ca3Er3Ge2BO13 with its theoretical powder diffraction line list. Radiation: Cu Ka. Structure: a DFT-relaxed cell (PBE, Alexandria).
Neutral-atom scattering factors, no anomalous dispersion.

Crystal structure
```
data_Ca3Er3Ge2BO13
_chemical_formula_sum 'Ca3 Er3 Ge2 B1 O13'
_cell_length_a 7.3941
_cell_length_b 7.3941
_cell_length_c 7.3950
_cell_angle_alpha 119.68
_cell_angle_beta 119.68
_cell_angle_gamma 90.52
_symmetry_space_group_name_H-M 'P 1'
_symmetry_Int_Tables_number 1
loop_
_symmetry_equiv_pos_as_xyz
'x,y,z'
loop_
_atom_site_label
_atom_site_type_symbol
_atom_site_fract_x
_atom_site_fract_y
_atom_site_fract_z
Ca1 Ca 0.0000 0.0000 0.0000
Ca2 Ca 0.9997 0.5378 0.5384
Ca3 Ca 0.4622 0.0003 0.4616
Er1 Er 0.0035 0.5439 0.9998
Er2 Er 0.4561 0.9965 0.0002
Er3 Er 0.4584 0.5416 0.0000
Ge1 Ge 0.4869 0.5131 0.5000
Ge2 Ge 0.9853 0.0147 0.5000
B1 B 0.7280 0.2720 0.0000
O1 O 0.0789 0.9098 0.2975
O2 O 0.0857 0.3139 0.7053
O3 O 0.0902 0.9211 0.7025
O4 O 0.2411 0.7589 0.0000
O5 O 0.3824 0.6047 0.2967
O6 O 0.3909 0.2214 0.2975
O7 O 0.3953 0.6176 0.7033
O8 O 0.4801 0.1937 0.8428
O9 O 0.6861 0.9143 0.2947
O10 O 0.7786 0.6091 0.7025
O11 O 0.7989 0.1848 0.1569
O12 O 0.8063 0.5199 0.1572
O13 O 0.8152 0.2011 0.8431
```

Peak list (10 most intense, 2θ = 5–70°, sorted by position)
- 2θ = 14.65°, I 21
- 2θ = 16.87°, I 21
- 2θ = 23.95°, I 11
- 2θ = 29.54°, I 100
- 2θ = 34.13°, I 27
- 2θ = 34.47°, I 12
- 2θ = 49.04°, I 17
- 2θ = 49.29°, I 29
- 2θ = 58.30°, I 27
- 2θ = 58.74°, I 10

This entry pairs a crystal structure of Ca3Er3Ge2BO13 with its theoretical powder diffraction line list. Radiation: Cu Ka. Structure: a DFT-relaxed cell (PBE, Alexandria).
Neutral-atom scattering factors, no anomalous dispersion.

Crystal structure
```
data_Ca3Er3Ge2BO13
_chemical_formula_sum 'Ca6 Er6 Ge4 B2 O26'
_cell_length_a 7.4070
_cell_length_b 7.4072
_cell_length_c 10.4911
_cell_angle_alpha 90.00
_cell_angle_beta 90.00
_cell_angle_gamma 90.00
_symmetry_space_group_name_H-M 'P 1'
_symmetry_Int_Tables_number 1
loop_
_symmetry_equiv_pos_as_xyz
'x,y,z'
loop_
_atom_site_label
_atom_site_type_symbol
_atom_site_fract_x
_atom_site_fract_y
_atom_site_fract_z
Ca1 Ca 0.0000 0.0000 0.0000
Ca2 Ca 0.2289 0.2302 0.7705
Ca3 Ca 0.2711 0.7302 0.2705
Ca4 Ca 0.5000 0.5000 0.5000
Ca5 Ca 0.7289 0.2698 0.2705
Ca6 Ca 0.7711 0.7698 0.7705
Er1 Er 0.0000 0.0000 0.5426
Er2 Er 0.2281 0.7721 0.7700
Er3 Er 0.2719 0.2721 0.2700
Er4 Er 0.5000 0.5000 0.0426
Er5 Er 0.7281 0.7279 0.2700
Er6 Er 0.7719 0.2279 0.7700
Ge1 Ge 0.0000 0.5000 0.0137
Ge2 Ge 0.0000 0.5000 0.5152
Ge3 Ge 0.5000 0.0000 0.0152
Ge4 Ge 0.5000 0.0000 0.5137
B1 B 0.0000 0.0000 0.2725
B2 B 0.5000 0.5000 0.7725
O1 O 0.0000 0.0000 0.7595
O2 O 0.0054 0.1630 0.3574
O3 O 0.0087 0.6995 0.6147
O4 O 0.0152 0.6936 0.9163
O5 O 0.1648 0.0066 0.1934
O6 O 0.1964 0.4911 0.4160
O7 O 0.1966 0.4855 0.1112
O8 O 0.3034 0.9855 0.6112
O9 O 0.3036 0.9911 0.9160
O10 O 0.3352 0.5066 0.6934
O11 O 0.4848 0.1936 0.4163
O12 O 0.4913 0.1995 0.1147
O13 O 0.4946 0.6630 0.8574
O14 O 0.5000 0.5000 0.2595
O15 O 0.5054 0.3370 0.8574
O16 O 0.5087 0.8005 0.1147
O17 O 0.5152 0.8064 0.4163
O18 O 0.6648 0.4934 0.6934
O19 O 0.6964 0.0089 0.9160
O20 O 0.6966 0.0145 0.6112
O21 O 0.8034 0.5145 0.1112
O22 O 0.8036 0.5089 0.4160
O23 O 0.8352 0.9934 0.1934
O24 O 0.9848 0.3064 0.9163
O25 O 0.9913 0.3005 0.6147
O26 O 0.9946 0.8370 0.3574
```

Peak list (10 most intense, 2θ = 5–70°, sorted by position)
- 2θ = 14.64°, I 21
- 2θ = 18.94°, I 34
- 2θ = 28.24°, I 12
- 2θ = 29.52°, I 100
- 2θ = 34.22°, I 39
- 2θ = 44.94°, I 21
- 2θ = 49.18°, I 46
- 2θ = 58.41°, I 38
- 2θ = 61.28°, I 10
- 2θ = 68.81°, I 11

This entry pairs a crystal structure of Ca4ErB3O10 with its theoretical powder diffraction line list. Radiation: Cu Ka. Structure: a DFT-relaxed cell (PBE, Alexandria).
Neutral-atom scattering factors, no anomalous dispersion.

Crystal structure
```
data_Ca4ErB3O10
_chemical_formula_sum 'Ca4 Er1 B3 O10'
_cell_length_a 9.0270
_cell_length_b 9.0270
_cell_length_c 3.5383
_cell_angle_alpha 94.99
_cell_angle_beta 94.99
_cell_angle_gamma 126.53
_symmetry_space_group_name_H-M 'P 1'
_symmetry_Int_Tables_number 1
loop_
_symmetry_equiv_pos_as_xyz
'x,y,z'
loop_
_atom_site_label
_atom_site_type_symbol
_atom_site_fract_x
_atom_site_fract_y
_atom_site_fract_z
Ca1 Ca 0.1119 0.8881 0.0000
Ca2 Ca 0.1988 0.5630 0.6740
Ca3 Ca 0.5630 0.1988 0.6740
Ca4 Ca 0.8881 0.1119 0.0000
Er1 Er 0.6374 0.6374 0.3212
B1 B 0.2699 0.2699 0.6273
B2 B 0.5003 0.8883 0.2483
B3 B 0.8883 0.5003 0.2483
O1 O 0.0270 0.6796 0.4450
O2 O 0.1089 0.2580 0.5809
O3 O 0.2580 0.1089 0.5809
O4 O 0.4028 0.9401 0.0532
O5 O 0.4197 0.6995 0.2503
O6 O 0.4446 0.4446 0.7203
O7 O 0.6796 0.0270 0.4450
O8 O 0.6995 0.4197 0.2503
O9 O 0.8068 0.8068 0.8994
O10 O 0.9401 0.4028 0.0532
```

Peak list (10 most intense, 2θ = 5–70°, sorted by position)
- 2θ = 10.97°, I 51
- 2θ = 12.39°, I 100
- 2θ = 19.93°, I 61
- 2θ = 24.93°, I 48
- 2θ = 29.89°, I 59
- 2θ = 30.52°, I 69
- 2θ = 30.71°, I 52
- 2θ = 31.57°, I 35
- 2θ = 32.71°, I 30
- 2θ = 48.05°, I 30

This entry pairs a crystal structure of KCaB2F8 with its theoretical powder diffraction line list. Radiation: Cu Ka. Structure: a DFT-relaxed cell (PBE, Alexandria).
Neutral-atom scattering factors, no anomalous dispersion.

Crystal structure
```
data_KCaB2F8
_chemical_formula_sum 'K1 Ca1 B2 F8'
_cell_length_a 9.4499
_cell_length_b 9.4499
_cell_length_c 9.4499
_cell_angle_alpha 29.59
_cell_angle_beta 29.59
_cell_angle_gamma 29.59
_symmetry_space_group_name_H-M 'P 1'
_symmetry_Int_Tables_number 1
loop_
_symmetry_equiv_pos_as_xyz
'x,y,z'
loop_
_atom_site_label
_atom_site_type_symbol
_atom_site_fract_x
_atom_site_fract_y
_atom_site_fract_z
K1 K 0.0000 0.0000 0.0000
Ca1 Ca 0.5000 0.5000 0.5000
B1 B 0.2549 0.2549 0.2549
B2 B 0.7451 0.7451 0.7451
F1 F 0.0606 0.7148 0.5086
F2 F 0.2852 0.4914 0.9394
F3 F 0.3077 0.3077 0.3077
F4 F 0.4914 0.9394 0.2852
F5 F 0.5086 0.0606 0.7148
F6 F 0.6923 0.6923 0.6923
F7 F 0.7148 0.5086 0.0606
F8 F 0.9394 0.2852 0.4914
```

Peak list (10 most intense, 2θ = 5–70°, sorted by position)
- 2θ = 25.04°, I 100
- 2θ = 34.08°, I 13
- 2θ = 37.26°, I 14
- 2θ = 38.62°, I 28
- 2θ = 39.65°, I 8
- 2θ = 39.94°, I 12
- 2θ = 42.47°, I 46
- 2θ = 55.54°, I 12
- 2θ = 58.85°, I 13
- 2θ = 67.19°, I 9